1.
Ac4Tl2Hg: theoretical X-ray powder pattern (Cu Ka), based on DFT lattice parameters and positions (GGA-PBE).
Intensities are scaled so that the largest is 100.

Structure:
Lattice parameters (Å, degrees): 5.7600 5.7600 27.6862 90.00 90.00 120.00
Space group R-3m (No. 166, hexagonal axes)
Inequivalent atoms, fractional coordinates:
Ac 0.0000 0.0000 0.1217 [6 per cell]
Ac 0.0000 0.0000 0.3733 [6 per cell]
Tl 0.0000 0.0000 0.2490 [6 per cell]
Hg 0.0000 0.0000 0.5000 [3 per cell]

The 12 most intense peaks (10° ≤ 2θ ≤ 90°), in order of rising 2θ:
two_theta	d_spacing	intensity	index
21.96	4.047	8	1 0 4
31.05	2.880	100	1 1 0
31.46	2.843	96	0 1 8
44.79	2.023	37	2 0 8
55.24	1.663	20	3 0 0
55.50	1.656	40	1 2 8
56.27	1.635	19	1 0 16
64.74	1.440	13	2 2 0
65.67	1.422	12	0 2 16
73.75	1.285	17	3 1 8
74.42	1.275	16	2 1 16
82.16	1.173	7	0 4 8

---

2.
CeMgZn2Au2: theoretical X-ray powder pattern (Cu Ka), based on DFT lattice parameters and positions (GGA-PBE).
Intensities are scaled so that the largest is 100.

Structure:
Lattice parameters (Å, degrees): 4.5426 4.5426 6.7906 90.00 90.00 120.00
Space group P-3m1 (No. 164)
Inequivalent atoms, fractional coordinates:
Ce 0.0000 0.0000 0.0000 [1 per cell]
Mg 0.0000 0.0000 0.5000 [1 per cell]
Zn 0.3333 0.6667 0.7070 [2 per cell]
Au 0.3333 0.6667 0.2792 [2 per cell]

The 12 most intense peaks (10° ≤ 2θ ≤ 90°), in order of rising 2θ:
two_theta	d_spacing	intensity	index
26.19	3.402	100	0 1 1
34.91	2.570	89	1 0 2
39.68	2.271	90	1 1 0
39.82	2.264	11	0 0 3
48.19	1.888	39	2 0 1
53.87	1.702	26	0 2 2
57.48	1.603	22	1 1 3
64.11	1.453	14	1 2 1
68.94	1.362	24	2 1 2
69.08	1.360	21	1 1 4
72.01	1.311	15	3 0 0
85.54	1.135	17	2 2 0

---

3.
Li3As2Pd5: theoretical X-ray powder pattern (Cu Ka), based on DFT lattice parameters and positions (GGA-PBE).
Intensities are scaled so that the largest is 100.

Structure:
Lattice parameters (Å, degrees): 10.796 11.793 5.514 90.00 90.00 90.00
Space group Ibam (No. 72)
Inequivalent atoms, fractional coordinates:
Li 0.000 0.000 0.250 [4 per cell]
Li 0.120 0.286 0.000 [8 per cell]
As 0.136 0.138 0.500 [8 per cell]
Pd 0.000 0.500 0.250 [4 per cell]
Pd 0.126 0.335 0.500 [8 per cell]
Pd 0.245 0.000 0.250 [8 per cell]

The 12 most intense peaks (10° ≤ 2θ ≤ 90°), in order of rising 2θ:
two_theta	d_spacing	intensity	index
11.11	7.963	42	1 1 0
15.02	5.897	33	0 2 0
16.42	5.398	12	2 0 0
24.28	3.666	100	2 1 1
35.96	2.497	45	0 2 2
36.62	2.454	44	4 2 0
45.03	2.013	62	0 4 2
45.57	1.991	35	4 4 0
46.18	1.966	19	0 6 0
47.12	1.929	47	4 0 2
53.22	1.721	12	2 1 3
68.11	1.377	23	4 6 2

---

4.
Rb2TlTeCl6: theoretical X-ray powder pattern (Cu Ka), based on DFT lattice parameters and positions (GGA-PBE).
Intensities are scaled so that the largest is 100.

Structure:
Lattice parameters (Å, degrees): 7.876 7.876 11.976 90.00 90.00 90.00
Space group I4/mmm (No. 139)
Inequivalent atoms, fractional coordinates:
Rb 0.000 0.500 0.250 [4 per cell]
Tl 0.000 0.000 0.000 [2 per cell]
Te 0.000 0.000 0.500 [2 per cell]
Cl 0.000 0.000 0.243 [4 per cell]
Cl 0.231 0.231 0.500 [8 per cell]

The 12 most intense peaks (10° ≤ 2θ ≤ 90°), in order of rising 2θ:
two_theta	d_spacing	intensity	index
14.79	5.988	17	0 0 2
15.91	5.569	30	1 1 0
21.79	4.078	100	1 1 2
22.58	3.938	46	2 0 0
29.84	2.994	33	0 0 4
32.14	2.785	52	2 2 0
37.75	2.383	25	2 0 4
39.17	2.300	44	3 1 2
44.43	2.039	41	2 2 4
46.10	1.969	18	4 0 0
55.89	1.645	20	4 0 4
71.59	1.318	16	2 2 8

---

5.
YH: theoretical X-ray powder pattern (Cu Ka), based on DFT lattice parameters and positions (GGA-PBE).
Intensities are scaled so that the largest is 100.

Structure:
Lattice parameters (Å, degrees): 6.714 6.714 6.714 90.00 90.00 90.00
Space group I-43m (No. 217)
Inequivalent atoms, fractional coordinates:
Y 0.188 0.188 0.812 [8 per cell]
H 0.127 0.127 0.127 [8 per cell]

The 12 most intense peaks (10° ≤ 2θ ≤ 90°), in order of rising 2θ:
two_theta	d_spacing	intensity	index
18.69	4.748	14	1 1 0
26.55	3.357	62	2 0 0
32.67	2.741	100	2 1 1
37.90	2.374	24	2 2 0
42.58	2.123	16	3 1 0
46.87	1.938	8	2 2 2
50.88	1.795	20	3 2 1
58.30	1.583	55	4 1 1
65.17	1.432	13	3 3 2
71.67	1.317	11	4 3 1
84.05	1.152	13	5 3 0
87.08	1.119	10	4 4 2